No. 1
Simulated XRD peak list of LiPmGa2 for Cu Kα (λ = 1.5418 Å), from a GGA-PBE-relaxed structure.

The 6 most intense peaks (2θ from 10° to 90°), in order of rising 2θ:
2θ (°)  I_rel  (hkl)
22.12  54.0  1 1 1
36.52  100.0  2 2 0
43.11  28.3  3 1 1
52.60  17.3  4 0 0
65.73  35.0  4 2 2
88.94  15.5  6 2 0

Structural model:
```
LiPmGa2
1.0
6.960 0.000 0.000
0.000 6.960 0.000
0.000 0.000 6.960
Li Pm Ga
4 4 8
direct
0.000 0.000 0.000
0.000 0.500 0.500
0.500 0.000 0.500
0.500 0.500 0.000
0.000 0.000 0.500
0.000 0.500 0.000
0.500 0.000 0.000
0.500 0.500 0.500
0.250 0.250 0.250
0.250 0.250 0.750
0.250 0.750 0.250
0.250 0.750 0.750
0.750 0.250 0.250
0.750 0.250 0.750
0.750 0.750 0.250
0.750 0.750 0.750
```


No. 2
Simulated XRD peak list of Er3Pt for Cu Kα (λ = 1.5418 Å), from a GGA-PBE-relaxed structure.

The 6 most intense peaks (2θ from 10° to 90°), in order of rising 2θ:
2θ (°)  I_rel  (hkl)
31.53  41.0  0 3 1
31.88  100.0  2 2 0
33.49  26.1  0 2 2
34.11  37.6  1 3 1
34.84  38.1  2 2 1
38.49  27.9  2 3 0

Structural model:
```
Er3Pt
1.0
6.967 0.000 0.000
0.000 9.468 0.000
0.000 0.000 6.486
Er Pt
12 4
direct
0.027 0.250 0.133
0.181 0.061 0.679
0.181 0.439 0.679
0.319 0.561 0.179
0.319 0.939 0.179
0.473 0.750 0.633
0.527 0.250 0.367
0.681 0.061 0.821
0.681 0.439 0.821
0.819 0.561 0.321
0.819 0.939 0.321
0.973 0.750 0.867
0.110 0.750 0.451
0.390 0.250 0.951
0.610 0.750 0.049
0.890 0.250 0.549
```


What did the first record say?
Simulated XRD peak list of LiPmGa2 for Cu Kα (λ = 1.5418 Å), from a GGA-PBE-relaxed structure.

The 6 most intense peaks (2θ from 10° to 90°), in order of rising 2θ:
2θ (°)  I_rel  (hkl)
22.12  54.0  1 1 1
36.52  100.0  2 2 0
43.11  28.3  3 1 1
52.60  17.3  4 0 0
65.73  35.0  4 2 2
88.94  15.5  6 2 0

Structural model:
```
LiPmGa2
1.0
6.960 0.000 0.000
0.000 6.960 0.000
0.000 0.000 6.960
Li Pm Ga
4 4 8
direct
0.000 0.000 0.000
0.000 0.500 0.500
0.500 0.000 0.500
0.500 0.500 0.000
0.000 0.000 0.500
0.000 0.500 0.000
0.500 0.000 0.000
0.500 0.500 0.500
0.250 0.250 0.250
0.250 0.250 0.750
0.250 0.750 0.250
0.250 0.750 0.750
0.750 0.250 0.250
0.750 0.250 0.750
0.750 0.750 0.250
0.750 0.750 0.750
```


Copy entry 1 word for word.
Simulated XRD peak list of LiPmGa2 for Cu Kα (λ = 1.5418 Å), from a GGA-PBE-relaxed structure.

The 6 most intense peaks (2θ from 10° to 90°), in order of rising 2θ:
2θ (°)  I_rel  (hkl)
22.12  54.0  1 1 1
36.52  100.0  2 2 0
43.11  28.3  3 1 1
52.60  17.3  4 0 0
65.73  35.0  4 2 2
88.94  15.5  6 2 0

Structural model:
```
LiPmGa2
1.0
6.960 0.000 0.000
0.000 6.960 0.000
0.000 0.000 6.960
Li Pm Ga
4 4 8
direct
0.000 0.000 0.000
0.000 0.500 0.500
0.500 0.000 0.500
0.500 0.500 0.000
0.000 0.000 0.500
0.000 0.500 0.000
0.500 0.000 0.000
0.500 0.500 0.500
0.250 0.250 0.250
0.250 0.250 0.750
0.250 0.750 0.250
0.250 0.750 0.750
0.750 0.250 0.250
0.750 0.250 0.750
0.750 0.750 0.250
0.750 0.750 0.750
```